# Li2Fe4O3F8
Theoretical PXRD pattern, a wavelength of 1.5418 Å. Input: a crystal structure in the Materials Project, relaxed with PBE+U.

The 8 most intense peaks (10° ≤ 2θ ≤ 80°), low angle first:
| 2θ (°) | I (rel.) | hkl |
| --- | --- | --- |
| 14.40 | 100 | 0 0 1 |
| 16.20 | 56 | 0 1 -1 |
| 23.56 | 45 | 1 1 -1 |
| 27.18 | 46 | 1 0 1 |
| 28.96 | 41 | 1 0 -2 |
| 41.93 | 46 | 1 0 -3 |
| 42.98 | 39 | 1 -3 1 |
| 43.64 | 39 | 2 1 0 |

Crystal structure
```
Li2Fe4O3F8
1.0
5.0815 0.0000 0.0000
-0.7762 6.6327 0.0000
-1.8614 -2.4252 6.1422
Li Fe O F
2 4 3 8
direct
0.1634 0.1792 0.3911 Li
0.8366 0.8208 0.6089 Li
0.1554 0.6222 0.2409 Fe
0.4093 0.2498 0.9718 Fe
0.5907 0.7502 0.0282 Fe
0.8446 0.3778 0.7591 Fe
0.2357 0.5282 0.9498 O
0.5000 0.0000 0.0000 O
0.7643 0.4718 0.0502 O
0.0136 0.8837 0.1987 F
0.1278 0.7113 0.5220 F
0.3039 0.3579 0.2546 F
0.4462 0.2038 0.6617 F
0.5538 0.7962 0.3383 F
0.6961 0.6421 0.7454 F
0.8722 0.2887 0.4780 F
0.9864 0.1163 0.8013 F
```